This entry pairs a crystal structure of La4ZnCu2MoO12 with its simulated powder diffractogram. Radiation: Cu Kα, 1.54184 Å. Structure: the PBE+U geometry in Alexandria.
Kinematic intensities with the Lorentz-polarization factor, no thermal factor.

Cell and atoms:
Cell: 8.0039 8.0048 11.7183 Å, 70.05 80.25 60.08°
Atoms (fractional coordinates):
La  0.0000  0.0000  0.0000
La  0.0000  0.2396  0.5013
La  0.0000  0.5000  0.0000
La  0.0000  0.7604  0.4987
La  0.4944  0.7508  0.5044
La  0.5000  0.0000  0.0000
La  0.5000  0.5000  0.0000
La  0.5056  0.2492  0.4956
Zn  0.2081  0.7638  0.7527
Zn  0.7919  0.2362  0.2473
Cu  0.3511  0.6682  0.2505
Cu  0.3526  0.2298  0.2508
Cu  0.6474  0.7702  0.7492
Cu  0.6489  0.3318  0.7495
Mo  0.1721  0.2911  0.7470
Mo  0.8279  0.7089  0.2530
O  0.0435  0.1519  0.7486
O  0.0502  0.5570  0.7494
O  0.1609  0.8766  0.5855
O  0.1623  0.7098  0.9187
O  0.1666  0.2047  0.9245
O  0.1667  0.3813  0.5726
O  0.3306  0.1217  0.4172
O  0.3314  0.6310  0.4168
O  0.3321  0.2901  0.0844
O  0.3324  0.7939  0.0841
O  0.4349  0.1556  0.7499
O  0.4836  0.3832  0.2523
O  0.5164  0.6168  0.7477
O  0.5651  0.8444  0.2501
O  0.6676  0.2061  0.9159
O  0.6679  0.7099  0.9156
O  0.6686  0.3690  0.5832
O  0.6694  0.8783  0.5828
O  0.8333  0.6187  0.4274
O  0.8334  0.7953  0.0755
O  0.8377  0.2902  0.0813
O  0.8391  0.1234  0.4145
O  0.9498  0.4430  0.2506
O  0.9565  0.8481  0.2514

Top 6 peaks for 10° ≤ 2θ ≤ 90°, by angle:
| 2θ (°) | intensity | hkl |
| --- | --- | --- |
| 25.69 | 33 | 0 2 1 |
| 26.96 | 39 | 2 0 1 |
| 30.46 | 100 | 2 0 -2 |
| 32.51 | 29 | 0 0 4 |
| 41.89 | 27 | 0 2 5 |
| 45.30 | 44 | 4 2 1 |